MoF5: calculated powder diffraction line list (a wavelength of 1.5418 Å), based on a PBE+U-relaxed structure.
Lines closer than 0.1° are merged.

Crystal structure
Cell lengths 5.8618, 5.8618, 8.5650 Å; angles 90.00, 90.00, 144.31 degrees
Positions (direct):
Mo  0.0000  0.0000  0.0000
Mo  0.0000  0.0000  0.5000
F  0.0044  0.9956  0.7500
F  0.1613  0.8387  0.0689
F  0.1613  0.8387  0.4311
F  0.4290  0.5710  0.0922
F  0.4290  0.5710  0.4078
F  0.5710  0.4290  0.5922
F  0.5710  0.4290  0.9078
F  0.8387  0.1613  0.5689
F  0.8387  0.1613  0.9311
F  0.9956  0.0044  0.2500

Largest 12 diffraction maxima, sorted by position, 2θ = 15–90°:
two_theta  I (rel.)
15.88  100
20.74  49
26.06  40
26.23  21
33.54  23
34.72  8
45.39  12
47.99  16
50.28  22
50.84  10
52.81  10
55.75  14


MoF5: calculated powder diffraction line list (a wavelength of 1.5418 Å), based on a PBE+U-relaxed structure.
Lines closer than 0.1° are merged.

Crystal structure
Cell lengths 5.5395, 5.5395, 7.9911 Å; angles 110.73, 110.73, 70.12 degrees
Positions (direct):
Mo  0.0000  0.0000  0.0000
Mo  0.0000  0.0000  0.5000
F  0.0734  0.9266  0.7500
F  0.2028  0.2619  0.6177
F  0.2619  0.2028  0.1177
F  0.2867  0.7049  0.0538
F  0.2951  0.7133  0.4462
F  0.7049  0.2867  0.5538
F  0.7133  0.2951  0.9462
F  0.7381  0.7972  0.8823
F  0.7972  0.7381  0.3823
F  0.9266  0.0734  0.2500

Largest 12 diffraction maxima, sorted by position, 2θ = 15–90°:
two_theta  I (rel.)
17.66  100
21.74  36
24.71  23
24.89  23
26.34  39
28.04  17
35.83  14
44.10  13
44.31  13
45.40  9
48.59  12
49.18  7


MoF6: calculated powder diffraction line list (a wavelength of 1.5418 Å), based on a PBE+U-relaxed structure.
Lines closer than 0.1° are merged.

Crystal structure
Cell lengths 5.6794, 5.6794, 5.6794 Å; angles 109.47, 109.47, 109.47 degrees
Positions (direct):
Mo  0.0000  0.0000  0.0000
F  0.0000  0.2849  0.2849
F  0.0000  0.7151  0.7151
F  0.2849  0.0000  0.2849
F  0.2849  0.2849  0.0000
F  0.7151  0.0000  0.7151
F  0.7151  0.7151  0.0000

Largest 12 diffraction maxima, sorted by position, 2θ = 15–90°:
two_theta  I (rel.)
19.14  100
27.20  29
33.47  6
38.84  5
43.65  35
52.19  11
56.10  6
59.83  15
63.43  7
66.92  5
73.66  13
86.54  8


MoF6: calculated powder diffraction line list (a wavelength of 1.5418 Å), based on a PBE+U-relaxed structure.
Lines closer than 0.1° are merged.

Crystal structure
Cell lengths 10.0776, 9.0109, 5.2111 Å; angles 90.00, 90.00, 90.00 degrees
Positions (direct):
Mo  0.1339  0.2500  0.0682
Mo  0.3661  0.7500  0.5682
Mo  0.6339  0.2500  0.4318
Mo  0.8661  0.7500  0.9318
F  0.0109  0.2500  0.8001
F  0.0361  0.1038  0.2379
F  0.0361  0.3962  0.2379
F  0.2313  0.1031  0.8995
F  0.2313  0.3969  0.8995
F  0.2420  0.7500  0.8349
F  0.2580  0.2500  0.3349
F  0.2687  0.6031  0.3995
F  0.2687  0.8969  0.3995
F  0.4639  0.6038  0.7379
F  0.4639  0.8962  0.7379
F  0.4891  0.7500  0.3001
F  0.5109  0.2500  0.6999
F  0.5361  0.1038  0.2621
F  0.5361  0.3962  0.2621
F  0.7313  0.1031  0.6005
F  0.7313  0.3969  0.6005
F  0.7420  0.7500  0.6651
F  0.7580  0.2500  0.1651
F  0.7687  0.6031  0.1005
F  0.7687  0.8969  0.1005
F  0.9639  0.6038  0.7621
F  0.9639  0.8962  0.7621
F  0.9891  0.7500  0.1999

Largest 12 diffraction maxima, sorted by position, 2θ = 15–90°:
two_theta  I (rel.)
19.17  46
19.70  75
20.19  100
21.58  76
27.63  29
31.69  19
38.95  28
41.03  15
44.00  23
54.63  20
57.86  14
61.72  18